Simulated powder X-ray diffraction pattern of NaTl7Hg5 for copper Kα, from a crystal structure in Alexandria, relaxed with GGA-PBE.

Largest 6 diffraction maxima, most intense first, 10° ≤ 2θ ≤ 80°:
| index | Position (°2θ) | I/Imax |
| --- | --- | --- |
| 2 0 -2 | 34.1 | 100 |
| 0 4 1 | 33.1 | 90 |
| 4 2 -1 | 32.3 | 86 |
| 2 2 1 | 32.2 | 85 |
| 3 3 -1 | 31.0 | 59 |
| 1 3 1 | 30.9 | 59 |

Crystal structure
```
data_NaTl7Hg5
_chemical_formula_sum 'Na2 Tl14 Hg10'
_symmetry_space_group_name_H-M 'C 1 m 1'
_symmetry_Int_Tables_number 8
_cell_length_a 12.4362
_cell_length_b 13.1358
_cell_length_c 5.2594
_cell_angle_alpha 90.00
_cell_angle_beta 114.67
_cell_angle_gamma 90.00
loop_
_symmetry_equiv_pos_as_xyz
'x,y,z'
'x,-y,z'
'x+1/2,y+1/2,z'
'x+1/2,-y+1/2,z'
loop_
_atom_site_label
_atom_site_type_symbol
_atom_site_fract_x
_atom_site_fract_y
_atom_site_fract_z
_atom_site_occupancy
Na1 Na 0.0000 0.0000 0.0000 1
Tl1 Tl 0.0094 0.2108 0.5096 1
Tl2 Tl 0.0984 0.5000 0.5969 1
Tl3 Tl 0.2933 0.5000 0.2902 1
Tl4 Tl 0.3065 0.0000 0.3028 1
Tl5 Tl 0.4581 0.1268 0.9565 1
Hg1 Hg 0.1529 0.0000 0.6525 1
Hg2 Hg 0.1991 0.2264 0.2034 1
Hg3 Hg 0.2982 0.3252 0.8022 1
```